The following is a computed X-ray powder pattern of LiCu3O3. It was derived from a structure optimized by DFT (GGA-PBE), using copper Kα.

Cell and atoms:
```
LiCu3O3
1.0
2.8551 0.0000 0.0000
0.0000 2.8551 0.0000
0.0000 0.0000 8.7996
Li Cu O
1 3 3
Cartesian
0.0000 0.0000 0.0000
0.0000 0.0000 4.1804
1.4276 1.4276 2.0322
1.4276 1.4276 6.7912
0.0000 0.0000 6.5543
1.4276 1.4276 0.2334
1.4276 1.4276 3.9173
```

Peak list (10 most intense, 2θ from 5° to 70°, by angle)
two_theta  intensity
10.1  43
30.5  26
31.3  21
33.0  39
37.6  100
41.0  35
44.9  76
55.2  17
62.4  36
65.4  22